Calculated X-ray powder pattern of Li2CuAs for λ = 1.5418 Å (Cu Kα), from DFT lattice parameters and positions (GGA-PBE).
Lines closer than 0.1° are merged.

Peak list (10 most intense, 5° ≤ 2θ ≤ 70°, sorted by position)
d = 3.966 Å, I = 100; d = 3.302 Å, I = 73; d = 2.678 Å, I = 12; d = 2.138 Å, I = 32; d = 2.097 Å, I = 64; d = 1.983 Å, I = 14; d = 1.854 Å, I = 70; d = 1.770 Å, I = 12; d = 1.497 Å, I = 10; d = 1.441 Å, I = 29

Crystal structure
```
8
Lattice="4.1936 0.0000 0.0000 -2.0968 3.6318 0.0000 0.0000 0.0000 7.9321" Properties=species:S:1:pos:R:3 pbc="T T T"
Li 0.0000 2.4212 0.6785
Li 0.0000 2.4212 3.2875
Li 2.0968 1.2106 4.6446
Li 2.0968 1.2106 7.2536
Cu 0.0000 0.0000 1.9830
Cu 0.0000 0.0000 5.9491
As 0.0000 2.4212 5.9491
As 2.0968 1.2106 1.9830
```


Calculated X-ray powder pattern of Cr4FeCoS8 for λ = 1.5418 Å (Cu Kα), from DFT lattice parameters and positions (GGA-PBE).
Lines closer than 0.1° are merged.

Peak list (10 most intense, 5° ≤ 2θ ≤ 70°, sorted by position)
d = 5.673 Å, I = 7; d = 3.474 Å, I = 32; d = 2.963 Å, I = 100; d = 2.456 Å, I = 51; d = 2.006 Å, I = 13; d = 1.891 Å, I = 41; d = 1.737 Å, I = 90; d = 1.554 Å, I = 5; d = 1.498 Å, I = 11; d = 1.418 Å, I = 10

Crystal structure
```
14
Lattice="0.0000 4.9128 4.9128 4.9128 0.0000 4.9128 4.9128 4.9128 0.0000" Properties=species:S:1:pos:R:3 pbc="T T T"
Cr 3.6972 3.6972 3.6972
Cr 6.1283 6.1283 3.6972
Cr 6.1283 3.6972 6.1283
Cr 3.6972 6.1283 6.1283
Fe 0.0000 0.0000 0.0000
Co 7.3691 7.3691 7.3691
S 1.2958 1.2958 1.2958
S 3.6170 3.6170 1.2958
S 3.6170 1.2958 3.6170
S 6.1005 3.7250 3.7250
S 1.2958 3.6170 3.6170
S 3.7250 6.1005 3.7250
S 3.7250 3.7250 6.1005
S 6.1005 6.1005 6.1005
```


Calculated X-ray powder pattern of Cs2NaBiCl6 for λ = 1.5418 Å (Cu Kα), from DFT lattice parameters and positions (GGA-PBE).
Lines closer than 0.1° are merged.

Peak list (10 most intense, 5° ≤ 2θ ≤ 70°, sorted by position)
d = 6.385 Å, I = 40; d = 3.910 Å, I = 100; d = 3.335 Å, I = 25; d = 3.193 Å, I = 15; d = 2.765 Å, I = 60; d = 2.258 Å, I = 48; d = 1.955 Å, I = 42; d = 1.749 Å, I = 22; d = 1.596 Å, I = 14; d = 1.478 Å, I = 26

Crystal structure
```
10
Lattice="0.0000 5.5299 5.5299 5.5299 0.0000 5.5299 5.5299 5.5299 0.0000" Properties=species:S:1:pos:R:3 pbc="T T T"
Cs 2.7649 2.7649 2.7649
Cs 8.2948 8.2948 8.2948
Na 0.0000 0.0000 0.0000
Bi 5.5299 5.5299 5.5299
Cl 5.5299 5.5299 2.8048
Cl 5.5299 2.8048 5.5299
Cl 8.2549 5.5299 5.5299
Cl 2.8048 5.5299 5.5299
Cl 5.5299 8.2549 5.5299
Cl 5.5299 5.5299 8.2549
```